No. 1
Structure and simulated PXRD pattern of Ba2Sb2S5 (a cell relaxed with PBE; Cu Kα (weighted mean of Kα1 and Kα2)).
Lines closer than 0.1° are merged.

Principal peaks in the range 10 to 90 degrees two-theta, most intense first:
d [Å]  Position (°2θ)  I_rel
3.773  23.6  100
2.714  33.0  38
3.374  26.4  37
3.603  24.7  32
2.114  42.8  22
2.278  39.6  20
4.403  20.2  17
2.201  41.0  17
2.409  37.3  13
2.417  37.2  13

Atomic structure:
Unit cell a=7.938 b=7.938 c=7.558 alpha=113.60 beta=113.60 gamma=39.99
Element x y z (fractional)
Ba: 0.109 0.109 0.294
Ba: 0.891 0.891 0.706
Sb: 0.346 0.346 0.127
Sb: 0.654 0.654 0.873
S: 0.149 0.149 0.903
S: 0.345 0.345 0.454
S: 0.500 0.500 0.000
S: 0.655 0.655 0.546
S: 0.851 0.851 0.097

***

No. 2
Structure and simulated PXRD pattern of Rb2GeCl7 (a cell relaxed with PBE; Cu Kα (weighted mean of Kα1 and Kα2)).
Lines closer than 0.1° are merged.

Principal peaks in the range 10 to 90 degrees two-theta, most intense first:
d [Å]  Position (°2θ)  I_rel
2.840  31.5  100
3.550  25.1  76
3.010  29.7  71
4.017  22.1  56
1.775  51.5  45
6.021  14.7  33
2.218  40.7  31
2.008  45.1  29
2.273  39.6  28
1.796  50.8  24

Atomic structure:
Unit cell a=7.276 b=7.276 c=7.276 alpha=112.99 beta=112.99 gamma=102.65
Element x y z (fractional)
Rb: 0.250 0.750 0.500
Rb: 0.750 0.250 0.500
Ge: 0.000 0.000 0.000
Cl: 0.210 0.210 0.421
Cl: 0.210 0.790 0.000
Cl: 0.244 0.244 0.000
Cl: 0.500 0.500 0.000
Cl: 0.756 0.756 0.000
Cl: 0.790 0.210 0.000
Cl: 0.790 0.790 0.579